(1)
Starting from the PBE geometry in Alexandria, the X-ray diffraction stick pattern of Nb4Pd4Pt3 was calculated for a wavelength of 1.5418 Å.
Intensities are scaled so that the largest is 100.

The 8 most intense peaks (2θ = 15–90°), by intensity:
| 2theta | I (rel.) |
| --- | --- |
| 40.3 | 100 |
| 40.4 | 42 |
| 42.1 | 24 |
| 38.4 | 17 |
| 73.4 | 17 |
| 22.0 | 16 |
| 42.9 | 13 |
| 57.0 | 11 |

a b c (Å): 14.4439 14.4439 2.8126
angles (deg): 94.01 94.01 17.76
Fractional coordinates of all 11 atoms:
Nb 0.0000 0.0000 0.0000
Nb 0.1085 0.1085 0.2438
Nb 0.3762 0.3762 0.9195
Nb 0.7323 0.7323 0.3226
Pd 0.2891 0.2891 0.3597
Pd 0.4622 0.4622 0.4765
Pd 0.6464 0.6464 0.7664
Pd 0.8195 0.8195 0.8825
Pt 0.1995 0.1995 0.7961
Pt 0.5543 0.5543 0.6291
Pt 0.9090 0.9090 0.4464



(2)
Starting from the PBE geometry in Alexandria, the X-ray diffraction stick pattern of NbPd7Pt2 was calculated for a wavelength of 1.5418 Å.
Intensities are scaled so that the largest is 100.

The 8 most intense peaks (2θ = 15–90°), by intensity:
| 2theta | I (rel.) |
| --- | --- |
| 39.0 | 100 |
| 41.4 | 69 |
| 49.4 | 52 |
| 41.6 | 50 |
| 23.6 | 41 |
| 20.4 | 39 |
| 31.4 | 37 |
| 46.1 | 32 |

a b c (Å): 8.7182 8.7182 2.7201
angles (deg): 90.00 90.00 120.19
Fractional coordinates of all 10 atoms:
Nb 0.0000 0.0000 0.0000
Pd 0.1409 0.3236 0.5000
Pd 0.3236 0.1409 0.5000
Pd 0.3448 0.6552 0.0000
Pd 0.5000 0.5000 0.5000
Pd 0.6552 0.3448 0.0000
Pd 0.6764 0.8591 0.5000
Pd 0.8591 0.6764 0.5000
Pt 0.1954 0.8046 0.5000
Pt 0.8046 0.1954 0.5000



(3)
Starting from the PBE geometry in Alexandria, the X-ray diffraction stick pattern of PuZrNbPd was calculated for a wavelength of 1.5418 Å.
Intensities are scaled so that the largest is 100.

The 8 most intense peaks (2θ = 15–90°), by intensity:
| 2theta | I (rel.) |
| --- | --- |
| 37.2 | 100 |
| 67.1 | 35 |
| 53.7 | 17 |
| 22.5 | 16 |
| 79.4 | 11 |
| 44.0 | 9 |
| 26.1 | 6 |
| 58.9 | 4 |

a b c (Å): 6.8300 6.8300 6.8300
angles (deg): 90.00 90.00 90.00
Fractional coordinates of all 16 atoms:
Pu 0.0000 0.0000 0.0000
Pu 0.0000 0.5000 0.5000
Pu 0.5000 0.0000 0.5000
Pu 0.5000 0.5000 0.0000
Zr 0.0000 0.0000 0.5000
Zr 0.0000 0.5000 0.0000
Zr 0.5000 0.0000 0.0000
Zr 0.5000 0.5000 0.5000
Nb 0.2500 0.2500 0.2500
Nb 0.2500 0.7500 0.7500
Nb 0.7500 0.2500 0.7500
Nb 0.7500 0.7500 0.2500
Pd 0.2500 0.2500 0.7500
Pd 0.2500 0.7500 0.2500
Pd 0.7500 0.2500 0.2500
Pd 0.7500 0.7500 0.7500



(4)
Starting from the PBE geometry in Alexandria, the X-ray diffraction stick pattern of Nb2PdRh4 was calculated for a wavelength of 1.5418 Å.
Intensities are scaled so that the largest is 100.

The 8 most intense peaks (2θ = 15–90°), by intensity:
| 2theta | I (rel.) |
| --- | --- |
| 44.8 | 100 |
| 39.0 | 96 |
| 40.5 | 91 |
| 34.8 | 86 |
| 39.4 | 61 |
| 43.4 | 52 |
| 38.5 | 44 |
| 49.6 | 41 |

a b c (Å): 5.3651 5.3651 9.2327
angles (deg): 90.00 90.00 58.77
Fractional coordinates of all 14 atoms:
Nb 0.1658 0.1658 0.0000
Nb 0.3342 0.3342 0.5000
Nb 0.6658 0.6658 0.5000
Nb 0.8342 0.8342 0.0000
Pd 0.0000 0.0000 0.5000
Pd 0.5000 0.5000 0.0000
Rh 0.0604 0.4396 0.7500
Rh 0.0908 0.9092 0.7839
Rh 0.4092 0.5908 0.2839
Rh 0.4396 0.0604 0.2500
Rh 0.5604 0.9396 0.7500
Rh 0.5908 0.4092 0.7161
Rh 0.9092 0.0908 0.2161
Rh 0.9396 0.5604 0.2500



(5)
Starting from the PBE geometry in Alexandria, the X-ray diffraction stick pattern of Nb4Pd2Rh5 was calculated for a wavelength of 1.5418 Å.
Intensities are scaled so that the largest is 100.

The 8 most intense peaks (2θ = 15–90°), by intensity:
| 2theta | I (rel.) |
| --- | --- |
| 44.3 | 100 |
| 43.6 | 64 |
| 19.6 | 56 |
| 36.5 | 49 |
| 38.1 | 35 |
| 44.0 | 34 |
| 43.0 | 27 |
| 21.6 | 24 |

a b c (Å): 9.5263 8.6603 5.5158
angles (deg): 81.16 63.94 34.90
Fractional coordinates of all 11 atoms:
Nb 0.0330 0.7147 0.2853
Nb 0.2853 0.9670 0.0330
Nb 0.7147 0.0330 0.9670
Nb 0.9670 0.2853 0.7147
Pd 0.2713 0.2713 0.7287
Pd 0.7287 0.7287 0.2713
Rh 0.0000 0.0000 0.0000
Rh 0.0000 0.0000 0.5000
Rh 0.2500 0.2500 0.2500
Rh 0.5000 0.5000 0.0000
Rh 0.7500 0.7500 0.7500



(6)
Starting from the PBE geometry in Alexandria, the X-ray diffraction stick pattern of Nb2PdRh2 was calculated for a wavelength of 1.5418 Å.
Intensities are scaled so that the largest is 100.

The 8 most intense peaks (2θ = 15–90°), by intensity:
| 2theta | I (rel.) |
| --- | --- |
| 40.6 | 100 |
| 40.3 | 90 |
| 40.0 | 55 |
| 38.3 | 52 |
| 56.6 | 33 |
| 80.7 | 26 |
| 73.1 | 17 |
| 71.1 | 15 |

a b c (Å): 2.8204 4.5108 12.7517
angles (deg): 90.00 90.00 90.00
Fractional coordinates of all 10 atoms:
Nb 0.2500 0.2500 0.0573
Nb 0.2500 0.7500 0.3535
Nb 0.7500 0.2500 0.6465
Nb 0.7500 0.7500 0.9427
Pd 0.2500 0.7500 0.7421
Pd 0.7500 0.2500 0.2579
Rh 0.2500 0.2500 0.4605
Rh 0.2500 0.7500 0.1499
Rh 0.7500 0.2500 0.8501
Rh 0.7500 0.7500 0.5395



(7)
Starting from the PBE geometry in Alexandria, the X-ray diffraction stick pattern of Nb14PdRh was calculated for a wavelength of 1.5418 Å.
Intensities are scaled so that the largest is 100.

The 8 most intense peaks (2θ = 15–90°), by intensity:
| 2theta | I (rel.) |
| --- | --- |
| 38.6 | 100 |
| 38.4 | 25 |
| 39.3 | 24 |
| 69.6 | 17 |
| 56.1 | 16 |
| 70.8 | 16 |
| 82.8 | 10 |
| 55.4 | 9 |

a b c (Å): 5.7438 5.7438 9.1645
angles (deg): 90.00 90.00 109.41
Fractional coordinates of all 16 atoms:
Nb 0.0000 0.0000 0.0000
Nb 0.0000 0.5000 0.0000
Nb 0.0000 0.5000 0.5000
Nb 0.2491 0.7509 0.2551
Nb 0.2491 0.7509 0.7449
Nb 0.2540 0.2540 0.2544
Nb 0.2540 0.2540 0.7456
Nb 0.5000 0.0000 0.0000
Nb 0.5000 0.0000 0.5000
Nb 0.5000 0.5000 0.0000
Nb 0.7460 0.7460 0.2544
Nb 0.7460 0.7460 0.7456
Nb 0.7509 0.2491 0.2551
Nb 0.7509 0.2491 0.7449
Pd 0.0000 0.0000 0.5000
Rh 0.5000 0.5000 0.5000



(8)
Starting from the PBE geometry in Alexandria, the X-ray diffraction stick pattern of Nb2Pd5Rh was calculated for a wavelength of 1.5418 Å.
Intensities are scaled so that the largest is 100.

The 8 most intense peaks (2θ = 15–90°), by intensity:
| 2theta | I (rel.) |
| --- | --- |
| 39.3 | 100 |
| 45.5 | 32 |
| 79.9 | 23 |
| 66.9 | 20 |
| 46.3 | 16 |
| 81.1 | 12 |
| 84.6 | 10 |
| 66.3 | 10 |

a b c (Å): 5.6426 11.2796 3.9221
angles (deg): 90.00 90.00 90.00
Fractional coordinates of all 16 atoms:
Nb 0.2326 0.1198 0.0000
Nb 0.2674 0.6198 0.0000
Nb 0.7326 0.3802 0.0000
Nb 0.7674 0.8802 0.0000
Pd 0.0000 0.5000 0.5000
Pd 0.0131 0.7502 0.5000
Pd 0.2404 0.3736 0.0000
Pd 0.2596 0.8736 0.0000
Pd 0.4869 0.2502 0.5000
Pd 0.5000 0.0000 0.5000
Pd 0.5131 0.7498 0.5000
Pd 0.7404 0.1264 0.0000
Pd 0.7596 0.6264 0.0000
Pd 0.9869 0.2498 0.5000
Rh 0.0000 0.0000 0.5000
Rh 0.5000 0.5000 0.5000